Theoretical powder diffraction line list
Compound: SrCrSnBiO6
Radiation: CuKα
Structure: a DFT-relaxed cell (PBE+U, the Materials Project)
Peak positions follow from Bragg's law for the DFT cell and can differ from measured ones.

Top 10 peaks for 2θ = 15–90°, low angle first:
19.14 deg, 4.636 Å, intensity 20
31.51 deg, 2.839 Å, intensity 100
37.13 deg, 2.421 Å, intensity 13
38.85 deg, 2.318 Å, intensity 9
45.17 deg, 2.007 Å, intensity 31
49.48 deg, 1.842 Å, intensity 6
56.11 deg, 1.639 Å, intensity 40
65.79 deg, 1.419 Å, intensity 19
74.78 deg, 1.270 Å, intensity 18
83.39 deg, 1.159 Å, intensity 7

Crystal structure
Cell: 5.678 5.678 5.678 Å, 60.00 60.00 60.00°
Element x y z (fractional)
Sr (0.000, 0.000, 0.000)
Cr (0.250, 0.250, 0.250)
Sn (0.750, 0.750, 0.750)
Bi (0.500, 0.500, 0.500)
O (0.004, 0.004, 0.496)
O (0.004, 0.496, 0.004)
O (0.004, 0.496, 0.496)
O (0.496, 0.004, 0.004)
O (0.496, 0.004, 0.496)
O (0.496, 0.496, 0.004)

***

Theoretical powder diffraction line list
Compound: Sr2CrBiO6
Radiation: CuKα
Structure: a DFT-relaxed cell (PBE+U, the Materials Project)
Peak positions follow from Bragg's law for the DFT cell and can differ from measured ones.

Top 10 peaks for 2θ = 15–90°, low angle first:
18.78 deg, 4.725 Å, intensity 28
21.72 deg, 4.092 Å, intensity 10
30.90 deg, 2.893 Å, intensity 100
36.41 deg, 2.468 Å, intensity 19
44.27 deg, 2.046 Å, intensity 32
48.49 deg, 1.878 Å, intensity 9
54.97 deg, 1.671 Å, intensity 40
64.40 deg, 1.447 Å, intensity 20
73.13 deg, 1.294 Å, intensity 18
89.65 deg, 1.094 Å, intensity 22

Crystal structure
Cell: 5.787 5.787 5.787 Å, 60.00 60.00 60.00°
Element x y z (fractional)
Sr (0.250, 0.250, 0.250)
Sr (0.750, 0.750, 0.750)
Cr (0.000, 0.000, 0.000)
Bi (0.500, 0.500, 0.500)
O (0.245, 0.245, 0.755)
O (0.245, 0.755, 0.245)
O (0.245, 0.755, 0.755)
O (0.755, 0.245, 0.245)
O (0.755, 0.245, 0.755)
O (0.755, 0.755, 0.245)

***

What did the second record say?
Theoretical powder diffraction line list
Compound: Sr2CrBiO6
Radiation: CuKα
Structure: a DFT-relaxed cell (PBE+U, the Materials Project)
Peak positions follow from Bragg's law for the DFT cell and can differ from measured ones.

Top 10 peaks for 2θ = 15–90°, low angle first:
18.78 deg, 4.725 Å, intensity 28
21.72 deg, 4.092 Å, intensity 10
30.90 deg, 2.893 Å, intensity 100
36.41 deg, 2.468 Å, intensity 19
44.27 deg, 2.046 Å, intensity 32
48.49 deg, 1.878 Å, intensity 9
54.97 deg, 1.671 Å, intensity 40
64.40 deg, 1.447 Å, intensity 20
73.13 deg, 1.294 Å, intensity 18
89.65 deg, 1.094 Å, intensity 22

Crystal structure
Cell: 5.787 5.787 5.787 Å, 60.00 60.00 60.00°
Element x y z (fractional)
Sr (0.250, 0.250, 0.250)
Sr (0.750, 0.750, 0.750)
Cr (0.000, 0.000, 0.000)
Bi (0.500, 0.500, 0.500)
O (0.245, 0.245, 0.755)
O (0.245, 0.755, 0.245)
O (0.245, 0.755, 0.755)
O (0.755, 0.245, 0.245)
O (0.755, 0.245, 0.755)
O (0.755, 0.755, 0.245)

***

Question: Number 1 is which compound?
Answer: SrCrSnBiO6